Record 1
Starting from a structure optimized by DFT (GGA-PBE), the powder diffraction line list of Pu2Ni4SnSb3 was simulated for Cu Ka.
No peak broadening, texture or thermal motion is included.

Largest 6 diffraction maxima, low angle first, 2θ from 5° to 70°:
2θ (°)	I/Imax
33.59	70.2
33.75	100.0
40.77	60.8
49.90	24.5
53.81	37.1
69.72	33.3

Cell and atoms:
```
10
Lattice="4.4267 0.0000 0.0000 0.0000 4.4267 0.0000 0.0000 0.0000 10.0318" Properties=species:S:1:pos:R:3 pbc="T T T"
Pu 0.0000 2.2134 2.4019
Pu 2.2134 0.0000 7.6299
Ni 0.0000 0.0000 0.0000
Ni 0.0000 2.2134 6.2795
Ni 2.2134 0.0000 3.7522
Ni 2.2134 2.2134 0.0000
Sn 0.0000 0.0000 5.0159
Sb 0.0000 2.2134 8.7405
Sb 2.2134 0.0000 1.2913
Sb 2.2134 2.2134 5.0159
```

Record 2
Starting from a structure optimized by DFT (GGA-PBE), the powder diffraction line list of Th2TaCrN5 was simulated for Cu Ka.
No peak broadening, texture or thermal motion is included.

Largest 6 diffraction maxima, low angle first, 2θ from 5° to 70°:
2θ (°)	I/Imax
27.38	49.6
29.49	100.0
31.42	36.6
33.09	62.9
38.43	88.5
46.28	32.7

Cell and atoms:
```
18
Lattice="1.6754 -6.8890 0.0000 1.6754 6.8890 0.0000 0.0000 0.0000 10.1183" Properties=species:S:1:pos:R:3 pbc="T T T"
Th 1.6754 5.2508 5.0592
Th 1.6754 5.0057 1.2891
Th 1.6754 -5.0057 6.3483
Th 1.6754 -5.2508 0.0000
Ta 1.6754 4.1731 8.3339
Ta 1.6754 -4.1731 3.2747
Cr 1.6754 0.6664 2.7638
Cr 1.6754 -0.6664 7.8230
N 1.6754 6.3092 8.7142
N 1.6754 2.8413 4.7658
N 1.6754 2.5302 1.8853
N 1.6754 2.0609 8.2845
N 1.6754 0.0082 6.1420
N 1.6754 -0.0082 1.0829
N 1.6754 -2.0609 3.2253
N 1.6754 -2.5302 6.9445
N 1.6754 -2.8413 9.8250
N 1.6754 -6.3092 3.6550
```

Record 3
Starting from a structure optimized by DFT (GGA-PBE), the powder diffraction line list of Ba9HgPd3 was simulated for Cu Ka.
No peak broadening, texture or thermal motion is included.

Largest 6 diffraction maxima, low angle first, 2θ from 5° to 70°:
2θ (°)	I/Imax
24.88	100.0
25.10	30.6
25.22	36.9
26.02	43.2
29.72	27.1
38.26	53.0

Cell and atoms:
```
26
Lattice="8.0165 0.0000 0.0000 0.0000 12.0163 0.0000 -1.3273 0.0000 13.1745" Properties=species:S:1:pos:R:3 pbc="T T T"
Ba 0.4518 3.0041 2.6375
Ba 0.7280 6.8396 4.9968
Ba 0.7280 11.1849 4.9968
Ba 0.5120 3.0041 11.2892
Ba 1.9778 6.6914 0.5450
Ba 1.9778 11.3331 0.5450
Ba 2.1702 3.0041 6.9565
Ba 1.9400 6.8382 9.3498
Ba 1.9400 11.1863 9.3498
Ba 4.7493 0.8300 3.8247
Ba 4.7493 5.1782 3.8247
Ba 4.5191 9.0122 6.2181
Ba 4.7114 0.6832 12.6296
Ba 4.7114 5.3249 12.6296
Ba 6.1773 9.0122 1.8854
Ba 5.9612 0.8314 8.1777
Ba 5.9612 5.1768 8.1777
Ba 6.2375 9.0122 10.5370
Hg 3.6648 3.0041 1.1373
Hg 3.0244 9.0122 12.0373
Pd -0.6936 0.0422 10.9240
Pd -0.6936 5.9659 10.9240
Pd 3.3446 0.0000 6.5873
Pd 3.3446 6.0082 6.5873
Pd 7.3828 6.0504 2.2506
Pd 7.3828 11.9741 2.2506
```

Record 4
Starting from a structure optimized by DFT (GGA-PBE), the powder diffraction line list of Zr2AlO was simulated for Cu Ka.
No peak broadening, texture or thermal motion is included.

Largest 6 diffraction maxima, low angle first, 2θ from 5° to 70°:
2θ (°)	I/Imax
18.64	32.0
27.22	20.9
32.26	100.0
33.20	79.3
50.30	20.2
52.03	27.7

Cell and atoms:
```
8
Lattice="-3.2759 3.2759 3.4651 3.2759 -3.2759 3.4651 3.2759 3.2759 -3.4651" Properties=species:S:1:pos:R:3 pbc="T T T"
Zr 4.9138 1.0165 -0.8663
Zr 1.0165 1.6379 0.8663
Zr -1.6379 2.2594 2.5988
Zr 2.2594 1.6379 4.3314
Al 3.2759 0.0000 1.7326
Al 0.0000 0.0000 3.4651
O 0.0000 0.0000 0.0000
O 0.0000 3.2759 1.7326
```

Record 5
Starting from a structure optimized by DFT (GGA-PBE), the powder diffraction line list of Ca2Cd5Hg4 was simulated for Cu Ka.
No peak broadening, texture or thermal motion is included.

Largest 6 diffraction maxima, low angle first, 2θ from 5° to 70°:
2θ (°)	I/Imax
17.76	54.8
30.21	40.9
32.68	40.9
35.10	87.3
35.51	57.0
37.32	100.0

Cell and atoms:
```
11
Lattice="-2.9630 4.6365 5.0563 2.9630 -4.6365 5.0563 2.9630 4.6365 -5.0563" Properties=species:S:1:pos:R:3 pbc="T T T"
Ca 0.0000 0.0000 2.1204
Ca 0.0000 0.0000 7.9921
Cd 2.9630 0.0000 0.0000
Cd 1.5075 3.0215 0.0000
Cd 1.4555 -1.6150 5.0563
Cd 1.5075 6.2515 0.0000
Cd 1.4555 1.6150 5.0563
Hg 2.9630 -1.5410 2.4777
Hg 2.9630 1.5410 2.4777
Hg 0.0000 3.0955 2.5786
Hg 0.0000 6.1775 2.5786
```

Record 6
Starting from a structure optimized by DFT (GGA-PBE), the powder diffraction line list of TbHo4Er7 was simulated for Cu Ka.
No peak broadening, texture or thermal motion is included.

Largest 6 diffraction maxima, low angle first, 2θ from 5° to 70°:
2θ (°)	I/Imax
30.91	73.4
31.05	55.0
33.19	80.5
34.05	100.0
44.38	41.5
57.00	23.1

Cell and atoms:
```
12
Lattice="5.9679 -2.8932 0.0000 5.9679 2.8932 0.0000 -5.9300 0.0000 11.0483" Properties=species:S:1:pos:R:3 pbc="T T T"
Tb 0.0000 0.0000 0.0000
Ho -1.1209 0.0000 7.5250
Ho 3.0119 0.0000 2.4864
Ho 2.9940 0.0000 8.5619
Ho 7.1268 0.0000 3.5233
Er -1.1813 0.0000 3.5649
Er -2.9489 0.0000 10.2046
Er 1.4076 0.0000 5.5143
Er 5.9679 0.0000 0.0000
Er 4.5983 0.0000 5.5340
Er 8.9547 0.0000 0.8437
Er 7.1871 0.0000 7.4835
```

Record 7
Starting from a structure optimized by DFT (GGA-PBE), the powder diffraction line list of Be2CoCu was simulated for Cu Ka.
No peak broadening, texture or thermal motion is included.

Largest 6 diffraction maxima, low angle first, 2θ from 5° to 70°:
2θ (°)	I/Imax
21.21	27.9
33.06	100.0
45.56	88.0
48.78	46.1
50.58	28.9
51.46	22.8

Cell and atoms:
```
4
Lattice="3.5519 0.0000 0.0000 0.0000 1.2547 4.1899 0.0000 -1.2547 4.1899" Properties=species:S:1:pos:R:3 pbc="T T T"
Be 0.0000 0.0000 0.0000
Be 1.7759 0.0000 1.2444
Co 0.0000 0.0000 6.1062
Cu 1.7759 0.0000 3.4377
```

Record 8
Starting from a structure optimized by DFT (GGA-PBE), the powder diffraction line list of Li6PrSn6 was simulated for Cu Ka.
No peak broadening, texture or thermal motion is included.

Largest 6 diffraction maxima, low angle first, 2θ from 5° to 70°:
2θ (°)	I/Imax
18.90	38.5
30.54	100.0
33.64	29.5
36.16	54.3
54.27	20.5
67.90	20.4

Cell and atoms:
```
13
Lattice="5.8550 0.0000 0.0000 -2.9275 5.0706 0.0000 0.0000 0.0000 9.3928" Properties=species:S:1:pos:R:3 pbc="T T T"
Li -1.4638 2.5353 2.3234
Li -1.4638 2.5353 7.0694
Li 2.9275 0.0000 2.3234
Li 2.9275 0.0000 7.0694
Li 1.4638 2.5353 2.3234
Li 1.4638 2.5353 7.0694
Pr 0.0000 0.0000 0.0000
Sn 0.0000 0.0000 3.2770
Sn 0.0000 0.0000 6.1158
Sn 0.0000 3.3804 0.0000
Sn 0.0000 3.3804 4.6964
Sn 2.9275 1.6902 0.0000
Sn 2.9275 1.6902 4.6964
```